# Na2Gd4NCl9O
Computed powder X-ray diffraction pattern, Cu Kα, 1.54184 Å. Input: a DFT-relaxed cell (GGA-PBE, the Materials Project).

Atomic structure:
```
Na2Gd4NCl9O
1.0
8.1941 0.0000 0.0000
0.0000 11.1365 0.0000
-2.6339 0.0000 8.8972
Na Gd N Cl O
4 8 2 18 2
Direct
0.2214 0.0000 0.4281 Na
0.2228 0.4772 0.4286 Na
0.7772 0.9772 0.5714 Na
0.7786 0.5000 0.5719 Na
0.2870 0.9496 0.9536 Gd
0.2938 0.5389 0.9553 Gd
0.3902 0.2370 0.7834 Gd
0.4037 0.2369 0.1689 Gd
0.5963 0.7369 0.8311 Gd
0.6098 0.7370 0.2166 Gd
0.7062 0.0389 0.0447 Gd
0.7130 0.4496 0.0464 Gd
0.4393 0.1155 0.9847 N
0.5607 0.6155 0.0153 N
0.1054 0.0754 0.6925 Cl
0.1097 0.4025 0.6971 Cl
0.1161 0.0860 0.1202 Cl
0.1198 0.3931 0.1172 Cl
0.2416 0.7401 0.7488 Cl
0.2598 0.7401 0.1426 Cl
0.3500 0.2376 0.4661 Cl
0.4950 0.9846 0.6953 Cl
0.4956 0.4917 0.6947 Cl
0.5044 0.9917 0.3053 Cl
0.5050 0.4846 0.3047 Cl
0.6500 0.7376 0.5339 Cl
0.7402 0.2401 0.8574 Cl
0.7584 0.2401 0.2512 Cl
0.8802 0.8931 0.8828 Cl
0.8839 0.5860 0.8798 Cl
0.8903 0.9025 0.3029 Cl
0.8946 0.5754 0.3075 Cl
0.4412 0.3666 0.9848 O
0.5588 0.8666 0.0152 O
```

The 10 most intense peaks (2θ from 15° to 90°), by intensity:
2θ = 33.2°, I = 100
2θ = 25.6°, I = 86
2θ = 34.2°, I = 60
2θ = 38.2°, I = 34
2θ = 35.2°, I = 31
2θ = 34.5°, I = 26
2θ = 32.2°, I = 22
2θ = 27.3°, I = 22
2θ = 54.1°, I = 21
2θ = 38.8°, I = 19

# Na2GdCl5
Computed powder X-ray diffraction pattern, Cu Kα, 1.54184 Å. Input: a DFT-relaxed cell (GGA-PBE, the Materials Project).

Atomic structure:
```
Na2GdCl5
1.0
12.1950 0.0000 0.0000
0.0000 8.3454 0.0000
0.0000 0.0000 7.7819
Na Gd Cl
8 4 20
Direct
0.1710 0.0053 0.0483 Na
0.1710 0.4947 0.0483 Na
0.3290 0.5053 0.5483 Na
0.3290 0.9947 0.5483 Na
0.6710 0.0053 0.4517 Na
0.6710 0.4947 0.4517 Na
0.8290 0.5053 0.9517 Na
0.8290 0.9947 0.9517 Na
0.0065 0.2500 0.5785 Gd
0.4935 0.7500 0.0785 Gd
0.5065 0.2500 0.9215 Gd
0.9935 0.7500 0.4215 Gd
0.0062 0.2500 0.9347 Cl
0.0811 0.5451 0.6692 Cl
0.0811 0.9549 0.6692 Cl
0.1851 0.2500 0.3686 Cl
0.2101 0.7500 0.3332 Cl
0.2899 0.2500 0.8332 Cl
0.3149 0.7500 0.8686 Cl
0.4189 0.0451 0.1692 Cl
0.4189 0.4549 0.1692 Cl
0.4938 0.7500 0.4347 Cl
0.5062 0.2500 0.5653 Cl
0.5811 0.5451 0.8308 Cl
0.5811 0.9549 0.8308 Cl
0.6851 0.2500 0.1314 Cl
0.7101 0.7500 0.1668 Cl
0.7899 0.2500 0.6669 Cl
0.8149 0.7500 0.6314 Cl
0.9189 0.0451 0.3308 Cl
0.9189 0.4549 0.3308 Cl
0.9938 0.7500 0.0653 Cl
```

The 10 most intense peaks (2θ from 15° to 90°), by intensity:
2θ = 21.3°, I = 100
2θ = 39.3°, I = 79
2θ = 25.3°, I = 77
2θ = 36.5°, I = 74
2θ = 34.8°, I = 74
2θ = 44.6°, I = 61
2θ = 15.6°, I = 53
2θ = 25.9°, I = 47
2θ = 31.5°, I = 45
2θ = 24.7°, I = 41

# NaGdCl4
Computed powder X-ray diffraction pattern, Cu Kα, 1.54184 Å. Input: a DFT-relaxed cell (GGA-PBE, the Materials Project).

Atomic structure:
```
NaGdCl4
1.0
6.7781 0.0000 0.0000
1.4094 6.6913 0.0000
0.2828 0.0294 7.0855
Na Gd Cl
2 2 8
Direct
0.2329 0.1949 0.0343 Na
0.7671 0.8051 0.9657 Na
0.2108 0.6996 0.4459 Gd
0.7892 0.3004 0.5541 Gd
0.0435 0.5030 0.7432 Cl
0.0939 0.0018 0.7078 Cl
0.3916 0.7960 0.1349 Cl
0.4356 0.3145 0.3801 Cl
0.5644 0.6855 0.6199 Cl
0.6084 0.2040 0.8651 Cl
0.9061 0.9982 0.2922 Cl
0.9565 0.4970 0.2568 Cl
```

The 10 most intense peaks (2θ from 15° to 90°), by intensity:
2θ = 20.7°, I = 100
2θ = 21.3°, I = 95
2θ = 29.8°, I = 74
2θ = 16.8°, I = 73
2θ = 37.0°, I = 71
2θ = 30.9°, I = 60
2θ = 18.2°, I = 55
2θ = 42.4°, I = 50
2θ = 36.8°, I = 45
2θ = 42.2°, I = 40